Structure and calculated XRD peak list of BaCaW4O8 (a GGA+U-relaxed structure; Cu Kα (weighted mean of Kα1 and Kα2)).

Crystal structure
```
14
Lattice="5.877 0.000 0.000 -2.939 5.090 0.000 0.000 0.000 7.509" Properties=species:S:1:pos:R:3 pbc="T T T"
Ba 0.000 0.000 0.000
Ca 0.000 0.000 3.754
W 0.000 3.393 2.060
W 0.000 3.393 5.449
W 2.939 1.697 2.060
W 2.939 1.697 5.449
O -0.894 1.549 2.222
O -2.044 3.541 5.287
O 1.788 0.000 2.222
O 0.894 1.549 5.287
O 0.000 3.393 0.000
O 2.939 1.697 0.000
O 4.089 0.000 5.287
O 2.044 3.541 2.222
```

The 10 most intense peaks (10 to 90 degrees two-theta), low angle first:
| 2θ/deg | I/Imax | h k l |
| --- | --- | --- |
| 17.42 | 17.7 | 1 0 0 |
| 23.70 | 25.8 | 0 0 2 |
| 29.57 | 67.1 | 1 0 2 |
| 30.42 | 100.0 | 1 1 0 |
| 38.92 | 26.8 | 2 -1 2 |
| 42.93 | 26.9 | 2 0 2 |
| 53.52 | 27.4 | 2 1 2 |
| 54.05 | 25.8 | 3 0 0 |
| 58.33 | 24.8 | 2 -1 4 |
| 75.54 | 12.7 | 3 0 4 |